# 1
Structure and calculated powder diffractogram of Pd6PtAu5 (a PBE-relaxed structure; λ = 1.5418 Å (Cu Kα)).

Top 8 peaks for 10 to 90 degrees two-theta, by intensity:
- 38.63 deg, intensity 100
- 44.55 deg, intensity 17
- 44.85 deg, intensity 16
- 45.32 deg, intensity 16
- 78.51 deg, intensity 13
- 65.06 deg, intensity 11
- 65.66 deg, intensity 11
- 22.21 deg, intensity 8

Structure:
```
Pd6PtAu5
1.0
2.0338 -6.0631 0.0000
2.0338 6.0631 0.0000
-0.0178 0.0000 8.0034
Pd Pt Au
6 1 5
Direct
0.9997 0.9997 0.2453
0.0003 0.0003 0.7547
0.3343 0.6652 0.7519
0.3348 0.6657 0.2481
0.6652 0.3343 0.7519
0.6657 0.3348 0.2481
0.5000 0.5000 0.0000
0.1659 0.8341 0.0000
0.1667 0.8333 0.5000
0.5000 0.5000 0.5000
0.8333 0.1667 0.5000
0.8341 0.1659 0.0000
```

---

# 2
Structure and calculated powder diffractogram of La3Pm4Y2 (a PBE-relaxed structure; λ = 1.5418 Å (Cu Kα)).

Top 8 peaks for 10 to 90 degrees two-theta, by intensity:
- 29.78 deg, intensity 100
- 29.92 deg, intensity 99
- 34.58 deg, intensity 67
- 59.06 deg, intensity 43
- 34.65 deg, intensity 33
- 49.60 deg, intensity 24
- 49.80 deg, intensity 24
- 58.93 deg, intensity 14

Structure:
```
La3Pm4Y2
1.0
6.3313 0.0000 0.0000
3.1502 5.4996 0.0000
3.1210 1.8330 9.0049
La Pm Y
3 4 2
Direct
0.0000 0.0000 0.0000
0.4439 0.7798 0.6661
0.5561 0.2202 0.3339
0.1103 0.4468 0.6666
0.3327 0.3323 0.0000
0.6673 0.6677 0.0000
0.8897 0.5532 0.3334
0.2226 0.8882 0.3341
0.7774 0.1118 0.6659
```

---

# 3
Structure and calculated powder diffractogram of SiAsPd6 (a PBE-relaxed structure; λ = 1.5418 Å (Cu Kα)).

Top 8 peaks for 10 to 90 degrees two-theta, by intensity:
- 36.86 deg, intensity 100
- 53.35 deg, intensity 21
- 52.90 deg, intensity 21
- 47.21 deg, intensity 17
- 37.65 deg, intensity 15
- 33.01 deg, intensity 14
- 42.48 deg, intensity 12
- 74.03 deg, intensity 12

Structure:
```
SiAsPd6
1.0
2.9746 1.7174 4.2564
-2.9746 1.7174 4.2564
0.0000 -3.4347 4.2564
Si As Pd
1 1 6
Direct
0.0000 0.0000 0.0000
0.5000 0.5000 0.5000
0.0260 0.7566 0.4603
0.2434 0.5397 0.9740
0.4603 0.0260 0.7566
0.5397 0.9740 0.2434
0.7566 0.4603 0.0260
0.9740 0.2434 0.5397
```

---

# 4
Structure and calculated powder diffractogram of PuU3 (a PBE-relaxed structure; λ = 1.5418 Å (Cu Kα)).

Top 8 peaks for 10 to 90 degrees two-theta, by intensity:
- 36.71 deg, intensity 100
- 34.11 deg, intensity 30
- 58.84 deg, intensity 26
- 46.42 deg, intensity 26
- 79.61 deg, intensity 23
- 62.76 deg, intensity 22
- 78.07 deg, intensity 12
- 89.92 deg, intensity 9

Structure:
```
PuU3
1.0
3.9123 0.0000 0.0000
0.0000 3.9123 0.0000
0.0000 0.0000 10.5155
Pu U
2 6
Direct
0.0000 0.0000 0.0000
0.5000 0.5000 0.5000
0.0000 0.0000 0.5000
0.0000 0.5000 0.2500
0.0000 0.5000 0.7500
0.5000 0.0000 0.2500
0.5000 0.0000 0.7500
0.5000 0.5000 0.0000
```